# V2OsO6
Computed X-ray powder pattern, λ = 1.5418 Å (Cu Kα). Input: the PBE+U geometry in Alexandria.
Kinematic intensities with the Lorentz-polarization factor, no thermal factor.

Structural model:
a b c (Å): 8.7438 8.7438 4.4729
angles (deg): 90.00 90.00 120.00
Sites, in units of the cell vectors:
V1 0.0000 0.3467 0.0000
V2 0.0000 0.6533 0.0000
V3 0.3467 0.0000 0.0000
V4 0.3467 0.3467 0.0000
V5 0.6533 0.0000 0.0000
V6 0.6533 0.6533 0.0000
Os1 0.0000 0.0000 0.0000
Os2 0.3333 0.6667 0.4897
Os3 0.6667 0.3333 0.5103
O1 0.1145 0.2289 0.7866
O2 0.1145 0.8855 0.7866
O3 0.1189 0.5594 0.7461
O4 0.2266 0.4533 0.2395
O5 0.2266 0.7734 0.2395
O6 0.2289 0.1145 0.2134
O7 0.4406 0.5594 0.7461
O8 0.4406 0.8811 0.7461
O9 0.4533 0.2266 0.7605
O10 0.5467 0.7734 0.2395
O11 0.5594 0.1189 0.2539
O12 0.5594 0.4406 0.2539
O13 0.7711 0.8855 0.7866
O14 0.7734 0.2266 0.7605
O15 0.7734 0.5467 0.7605
O16 0.8811 0.4406 0.2539
O17 0.8855 0.1145 0.2134
O18 0.8855 0.7711 0.2134

Principal peaks in the range 10° ≤ 2θ ≤ 80°, by angle:
| 2θ/deg | I/Imax | index |
| --- | --- | --- |
| 20.31 | 81.9 | 1 1 0 |
| 23.09 | 100.0 | 0 1 1 |
| 28.55 | 49.6 | 1 1 1 |
| 30.94 | 54.6 | 2 0 1 |
| 35.57 | 60.4 | 3 0 0 |
| 37.30 | 59.6 | 1 2 1 |
| 54.85 | 64.4 | 3 0 2 |
| 63.88 | 24.4 | 3 3 0 |